The following is a calculated powder diffractogram of NdTlPbBr6. It was derived from DFT lattice parameters and positions (PBE), using copper Kα.

Largest 10 diffraction maxima, in order of rising 2θ, 5° ≤ 2θ ≤ 70°:
| 2theta | d_spacing | I/Imax | h k l |
| --- | --- | --- | --- |
| 18.17 | 4.883 | 100 | 1 0 2 |
| 22.97 | 3.871 | 21 | 1 1 0 |
| 26.20 | 3.401 | 55 | 1 1 2 |
| 29.45 | 3.033 | 29 | 2 0 2 |
| 34.20 | 2.622 | 92 | 1 1 4 |
| 37.68 | 2.388 | 35 | 2 1 2 |
| 40.34 | 2.236 | 58 | 3 0 0 |
| 53.91 | 1.701 | 23 | 4 -2 4 |
| 67.18 | 1.393 | 22 | 3 0 8 |
| 69.45 | 1.353 | 21 | 4 1 4 |

Structural model:
```
data_NdTlPbBr6
_chemical_formula_sum 'Nd2 Tl2 Pb2 Br12'
_space_group_name_H-M_alt 'P -3 1 c'
_space_group_IT_number 163
_space_group_name_Hall '-P 3 2c'
_cell_length_a 7.7412
_cell_length_b 7.7412
_cell_length_c 14.2556
_cell_angle_alpha 90.00
_cell_angle_beta 90.00
_cell_angle_gamma 120.00
loop_
_atom_site_label
_atom_site_type_symbol
_atom_site_fract_x
_atom_site_fract_y
_atom_site_fract_z
Nd1 Nd 0.3333 0.6667 0.2500
Tl1 Tl 0.0000 0.0000 0.0000
Pb1 Pb 0.3333 0.6667 0.7500
Br1 Br 0.0140 0.3702 0.1326
```

The following is a calculated powder diffractogram of Nd4PdRhBr2. It was derived from DFT lattice parameters and positions (PBE), using copper Kα.

Largest 10 diffraction maxima, in order of rising 2θ, 5° ≤ 2θ ≤ 70°:
| 2theta | d_spacing | I/Imax | h k l |
| --- | --- | --- | --- |
| 11.33 | 7.808 | 21 | 0 0 1 |
| 25.79 | 3.455 | 5 | 2 0 0 |
| 29.02 | 3.076 | 100 | 1 1 1 |
| 31.25 | 2.862 | 6 | 1 1 -2 |
| 36.59 | 2.456 | 14 | 2 0 -3 |
| 39.61 | 2.275 | 29 | 2 0 2 |
| 43.35 | 2.087 | 37 | 0 2 0 |
| 49.69 | 1.835 | 10 | 1 1 -4 |
| 53.01 | 1.727 | 18 | 4 0 0 |
| 60.21 | 1.537 | 6 | 2 2 2 |

Structural model:
```
data_Nd4PdRhBr2
_chemical_formula_sum 'Nd4 Pd1 Rh1 Br2'
_space_group_name_H-M_alt 'P 1 2/m 1'
_space_group_IT_number 10
_cell_length_a 7.2372
_cell_length_b 4.1714
_cell_length_c 8.1770
_cell_angle_alpha 90.00
_cell_angle_beta 107.28
_cell_angle_gamma 90.00
loop_
_space_group_symop_operation_xyz
'x,y,z'
'-x,-y,-z'
'-x,y,-z'
'x,-y,z'
loop_
_atom_site_label
_atom_site_type_symbol
_atom_site_fract_x
_atom_site_fract_y
_atom_site_fract_z
Nd1 Nd 0.2267 0.0000 0.1969
Nd2 Nd 0.2584 0.5000 0.8021
Pd1 Pd 0.5000 0.0000 0.0000
Rh1 Rh 0.0000 0.5000 0.0000
Br1 Br 0.0000 0.0000 0.5000
Br2 Br 0.5000 0.5000 0.5000
```

The following is a calculated powder diffractogram of Nd3TePdBr. It was derived from DFT lattice parameters and positions (PBE), using copper Kα.

Largest 10 diffraction maxima, in order of rising 2θ, 5° ≤ 2θ ≤ 70°:
| 2theta | d_spacing | I/Imax | h k l |
| --- | --- | --- | --- |
| 26.55 | 3.357 | 36 | 1 1 1 |
| 30.00 | 2.979 | 40 | 2 0 -3 |
| 30.69 | 2.914 | 100 | 1 1 2 |
| 31.42 | 2.847 | 28 | 1 0 -4 |
| 32.03 | 2.795 | 32 | 2 1 -1 |
| 32.35 | 2.767 | 26 | 1 1 -3 |
| 33.66 | 2.663 | 69 | 2 1 -2 |
| 37.84 | 2.378 | 28 | 2 0 3 |
| 43.23 | 2.093 | 38 | 0 2 0 |
| 44.97 | 2.016 | 30 | 1 1 -5 |

Structural model:
```
data_Nd3TePdBr
_chemical_formula_sum 'Nd6 Te2 Pd2 Br2'
_space_group_name_H-M_alt 'P 1 21/m 1'
_space_group_IT_number 11
_cell_length_a 7.5525
_cell_length_b 4.1852
_cell_length_c 11.5428
_cell_angle_alpha 90.00
_cell_angle_beta 102.81
_cell_angle_gamma 90.00
loop_
_space_group_symop_operation_xyz
'x,y,z'
'-x,-y,-z'
'-x,y+1/2,-z'
'x,-y+1/2,z'
loop_
_atom_site_label
_atom_site_type_symbol
_atom_site_fract_x
_atom_site_fract_y
_atom_site_fract_z
Nd1 Nd 0.2060 0.2500 0.0061
Nd2 Nd 0.2196 0.2500 0.6139
Nd3 Nd 0.2626 0.7500 0.3182
Te1 Te 0.0534 0.7500 0.8017
Pd1 Pd 0.4743 0.7500 0.5720
Br1 Br 0.4815 0.7500 0.1286
```

The following is a calculated powder diffractogram of PmNdBr5. It was derived from DFT lattice parameters and positions (PBE), using copper Kα.

Largest 10 diffraction maxima, in order of rising 2θ, 5° ≤ 2θ ≤ 70°:
| 2theta | d_spacing | I/Imax | h k l |
| --- | --- | --- | --- |
| 11.80 | 7.498 | 100 | 1 0 -1 |
| 27.71 | 3.220 | 21 | 1 1 2 |
| 29.52 | 3.026 | 18 | 2 0 3 |
| 30.11 | 2.968 | 35 | 2 1 0 |
| 30.65 | 2.917 | 26 | 1 1 -3 |
| 32.35 | 2.767 | 41 | 3 0 1 |
| 34.12 | 2.627 | 19 | 0 1 4 |
| 41.19 | 2.192 | 18 | 2 1 4 |
| 44.07 | 2.055 | 21 | 0 2 0 |
| 44.31 | 2.044 | 24 | 3 0 -5 |

Structural model:
```
data_PmNdBr5
_chemical_formula_sum 'Pm2 Nd2 Br10'
_space_group_name_H-M_alt 'P 1 21/m 1'
_space_group_IT_number 11
_cell_length_a 8.6033
_cell_length_b 4.1091
_cell_length_c 13.6999
_cell_angle_alpha 90.00
_cell_angle_beta 93.81
_cell_angle_gamma 90.00
loop_
_space_group_symop_operation_xyz
'x,y,z'
'-x,-y,-z'
'-x,y+1/2,-z'
'x,-y+1/2,z'
loop_
_atom_site_label
_atom_site_type_symbol
_atom_site_fract_x
_atom_site_fract_y
_atom_site_fract_z
Pm1 Pm 0.0825 0.2500 0.1569
Nd1 Nd 0.3994 0.7500 0.3478
Br1 Br 0.1323 0.2500 0.7841
Br2 Br 0.1538 0.2500 0.3760
Br3 Br 0.1787 0.7500 0.0150
Br4 Br 0.3673 0.7500 0.5724
Br5 Br 0.4334 0.2500 0.1901
```

The following is a calculated powder diffractogram of Pm2NdBr5. It was derived from DFT lattice parameters and positions (PBE), using copper Kα.

Largest 10 diffraction maxima, in order of rising 2θ, 5° ≤ 2θ ≤ 70°:
| 2theta | d_spacing | I/Imax | h k l |
| --- | --- | --- | --- |
| 9.59 | 9.227 | 59 | 1 1 0 |
| 14.18 | 6.248 | 78 | 1 0 1 |
| 15.08 | 5.876 | 47 | 1 2 0 |
| 15.29 | 5.795 | 48 | 2 1 0 |
| 25.09 | 3.550 | 52 | 0 0 2 |
| 26.85 | 3.320 | 67 | 1 1 2 |
| 28.65 | 3.116 | 100 | 2 0 2 |
| 33.38 | 2.684 | 51 | 4 2 1 |
| 36.29 | 2.476 | 64 | 0 5 1 |
| 39.03 | 2.308 | 47 | 4 4 0 |

Structural model:
```
data_Pm2NdBr5
_chemical_formula_sum 'Pm8 Nd4 Br20'
_space_group_name_H-M_alt 'P n n m'
_space_group_IT_number 58
_cell_length_a 12.8998
_cell_length_b 13.2021
_cell_length_c 7.1178
_cell_angle_alpha 90.00
_cell_angle_beta 90.00
_cell_angle_gamma 90.00
loop_
_space_group_symop_operation_xyz
'x,y,z'
'-x,-y,-z'
'-x,-y,z'
'x,y,-z'
'x+1/2,-y+1/2,-z+1/2'
'-x+1/2,y+1/2,z+1/2'
'-x+1/2,y+1/2,-z+1/2'
'x+1/2,-y+1/2,z+1/2'
loop_
_atom_site_label
_atom_site_type_symbol
_atom_site_fract_x
_atom_site_fract_y
_atom_site_fract_z
Pm1 Pm 0.0000 0.0000 0.2478
Pm2 Pm 0.1026 0.3964 0.5000
Nd1 Nd 0.2148 0.2985 0.0000
Br1 Br 0.0569 0.2195 0.2534
Br2 Br 0.1361 0.6204 0.5000
Br3 Br 0.1644 0.9099 0.0000
Br4 Br 0.1867 0.9957 0.5000
```

The following is a calculated powder diffractogram of PrNdBr4. It was derived from DFT lattice parameters and positions (PBE), using copper Kα.

Largest 10 diffraction maxima, in order of rising 2θ, 5° ≤ 2θ ≤ 70°:
| 2theta | d_spacing | I/Imax | h k l |
| --- | --- | --- | --- |
| 16.89 | 5.248 | 73 | 1 0 1 |
| 27.74 | 3.216 | 45 | 1 0 3 |
| 30.32 | 2.948 | 100 | 2 0 0 |
| 31.08 | 2.878 | 44 | 0 0 4 |
| 34.91 | 2.570 | 24 | 2 1 1 |
| 41.55 | 2.173 | 30 | 2 1 3 |
| 43.40 | 2.085 | 37 | 2 2 0 |
| 43.97 | 2.059 | 67 | 2 0 4 |
| 54.34 | 1.688 | 36 | 2 2 4 |
| 63.06 | 1.474 | 12 | 4 0 0 |

Structural model:
```
data_PrNdBr4
_chemical_formula_sum 'Pr2 Nd2 Br8'
_space_group_name_H-M_alt 'I -4 m 2'
_space_group_IT_number 119
_space_group_name_Hall 'I -4 -2'
_cell_length_a 5.8966
_cell_length_b 5.8966
_cell_length_c 11.5109
_cell_angle_alpha 90.00
_cell_angle_beta 90.00
_cell_angle_gamma 90.00
loop_
_atom_site_label
_atom_site_type_symbol
_atom_site_fract_x
_atom_site_fract_y
_atom_site_fract_z
Pr1 Pr 0.0000 0.0000 0.0000
Nd1 Nd 0.0000 0.5000 0.7500
Br1 Br 0.0000 0.0000 0.2642
Br2 Br 0.0000 0.5000 0.0125
```

The following is a calculated powder diffractogram of RbNd3Br8. It was derived from DFT lattice parameters and positions (PBE), using copper Kα.

Largest 10 diffraction maxima, in order of rising 2θ, 5° ≤ 2θ ≤ 70°:
| 2theta | d_spacing | I/Imax | h k l |
| --- | --- | --- | --- |
| 10.19 | 8.683 | 78 | 0 0 3 |
| 12.98 | 6.819 | 23 | 1 0 1 |
| 24.11 | 3.692 | 15 | 1 1 3 |
| 28.75 | 3.105 | 100 | 0 2 4 |
| 35.02 | 2.562 | 25 | 0 2 7 |
| 37.57 | 2.394 | 38 | 2 0 8 |
| 44.42 | 2.039 | 32 | 2 2 0 |
| 46.15 | 1.967 | 17 | 2 0 11 |
| 53.78 | 1.705 | 17 | 4 0 4 |
| 62.49 | 1.486 | 13 | 2 2 12 |

Structural model:
```
data_RbNd3Br8
_chemical_formula_sum 'Rb3 Nd9 Br24'
_space_group_name_H-M_alt 'R -3 m'
_space_group_IT_number 166
_space_group_name_Hall '-R 3 2"'
_cell_length_a 8.1579
_cell_length_b 8.1579
_cell_length_c 26.0489
_cell_angle_alpha 90.00
_cell_angle_beta 90.00
_cell_angle_gamma 120.00
loop_
_atom_site_label
_atom_site_type_symbol
_atom_site_fract_x
_atom_site_fract_y
_atom_site_fract_z
Rb1 Rb 0.0000 0.0000 0.0000
Nd1 Nd 0.0000 0.5000 0.5000
Br1 Br 0.0000 0.0000 0.2396
Br2 Br 0.0047 0.5023 0.2340
```

The following is a calculated powder diffractogram of Rb3NdBr8. It was derived from DFT lattice parameters and positions (PBE), using copper Kα.

Largest 10 diffraction maxima, in order of rising 2θ, 5° ≤ 2θ ≤ 70°:
| 2theta | d_spacing | I/Imax | h k l |
| --- | --- | --- | --- |
| 12.62 | 7.012 | 19 | 1 0 1 |
| 19.49 | 4.554 | 58 | 1 1 2 |
| 31.84 | 2.811 | 100 | 2 0 4 |
| 32.60 | 2.747 | 47 | 2 2 0 |
| 36.94 | 2.434 | 11 | 1 1 6 |
| 38.27 | 2.352 | 19 | 3 1 2 |
| 46.77 | 1.942 | 15 | 4 0 0 |
| 50.08 | 1.821 | 10 | 3 1 6 |
| 56.24 | 1.636 | 14 | 2 2 8 |
| 57.70 | 1.598 | 27 | 4 2 4 |

Structural model:
```
data_Rb3NdBr8
_chemical_formula_sum 'Rb6 Nd2 Br16'
_space_group_name_H-M_alt 'I 4/m m m'
_space_group_IT_number 139
_space_group_name_Hall '-I 4 2'
_cell_length_a 7.7689
_cell_length_b 7.7689
_cell_length_c 16.2865
_cell_angle_alpha 90.00
_cell_angle_beta 90.00
_cell_angle_gamma 90.00
loop_
_atom_site_label
_atom_site_type_symbol
_atom_site_fract_x
_atom_site_fract_y
_atom_site_fract_z
Rb1 Rb 0.0000 0.0000 0.0000
Rb2 Rb 0.0000 0.5000 0.2500
Nd1 Nd 0.0000 0.0000 0.5000
Br1 Br 0.2234 0.2234 0.3889
```

The following is a calculated powder diffractogram of RbNd2Br7. It was derived from DFT lattice parameters and positions (PBE), using copper Kα.

Largest 10 diffraction maxima, in order of rising 2θ, 5° ≤ 2θ ≤ 70°:
| 2theta | d_spacing | I/Imax | h k l |
| --- | --- | --- | --- |
| 11.91 | 7.428 | 41 | 0 2 0 |
| 15.31 | 5.788 | 73 | 0 0 1 |
| 19.20 | 4.624 | 33 | 2 0 0 |
| 20.34 | 4.365 | 23 | 1 3 0 |
| 30.89 | 2.895 | 100 | 0 0 2 |
| 31.63 | 2.829 | 30 | 1 5 0 |
| 33.48 | 2.676 | 37 | 3 1 1 |
| 34.27 | 2.617 | 38 | 3 3 0 |
| 44.25 | 2.047 | 29 | 2 4 2 |
| 46.80 | 1.941 | 31 | 3 3 2 |

Structural model:
```
data_RbNd2Br7
_chemical_formula_sum 'Rb2 Nd4 Br14'
_space_group_name_H-M_alt 'C m m m'
_space_group_IT_number 65
_space_group_name_Hall '-C 2 2'
_cell_length_a 9.2473
_cell_length_b 14.8554
_cell_length_c 5.7883
_cell_angle_alpha 90.00
_cell_angle_beta 90.00
_cell_angle_gamma 90.00
loop_
_atom_site_label
_atom_site_type_symbol
_atom_site_fract_x
_atom_site_fract_y
_atom_site_fract_z
Rb1 Rb 0.0000 0.0000 0.0000
Nd1 Nd 0.0000 0.3022 0.5000
Br1 Br 0.0000 0.2906 0.0000
Br2 Br 0.0000 0.5000 0.5000
Br3 Br 0.1876 0.1379 0.5000
```

The following is a calculated powder diffractogram of Rb3NdBr6. It was derived from DFT lattice parameters and positions (PBE), using copper Kα.

Largest 10 diffraction maxima, in order of rising 2θ, 5° ≤ 2θ ≤ 70°:
| 2theta | d_spacing | I/Imax | h k l |
| --- | --- | --- | --- |
| 12.60 | 7.027 | 56 | 0 1 1 |
| 14.75 | 6.006 | 55 | 1 1 -1 |
| 20.96 | 4.239 | 71 | 1 1 1 |
| 21.40 | 4.153 | 67 | 1 1 -3 |
| 24.91 | 3.575 | 76 | 1 0 2 |
| 27.46 | 3.248 | 81 | 1 1 -4 |
| 29.75 | 3.003 | 100 | 2 2 -2 |
| 30.52 | 2.929 | 69 | 0 0 4 |
| 33.27 | 2.693 | 89 | 2 2 0 |
| 37.20 | 2.417 | 82 | 3 1 -1 |

Structural model:
```
data_Rb3NdBr6
_chemical_formula_sum 'Rb6 Nd2 Br12'
_space_group_name_H-M_alt 'P 1 21/c 1'
_space_group_IT_number 14
_cell_length_a 8.2394
_cell_length_b 8.7774
_cell_length_c 14.1424
_cell_angle_alpha 90.00
_cell_angle_beta 124.00
_cell_angle_gamma 90.00
loop_
_space_group_symop_operation_xyz
'x,y,z'
'-x,-y,-z'
'-x,y+1/2,-z+1/2'
'x,-y+1/2,z+1/2'
loop_
_atom_site_label
_atom_site_type_symbol
_atom_site_fract_x
_atom_site_fract_y
_atom_site_fract_z
Rb1 Rb 0.0000 0.0000 0.0000
Rb2 Rb 0.2117 0.0754 0.7416
Nd1 Nd 0.5000 0.0000 0.5000
Br1 Br 0.1605 0.1791 0.4436
Br2 Br 0.2556 0.7264 0.4220
Br3 Br 0.4046 0.0578 0.2717
```

The following is a calculated powder diffractogram of Rb6Nd3Br14. It was derived from DFT lattice parameters and positions (PBE), using copper Kα.

Largest 10 diffraction maxima, in order of rising 2θ, 5° ≤ 2θ ≤ 70°:
| 2theta | d_spacing | I/Imax | h k l |
| --- | --- | --- | --- |
| 14.12 | 6.271 | 41 | 0 1 1 |
| 14.60 | 6.066 | 44 | 1 1 0 |
| 20.37 | 4.360 | 47 | 2 0 1 |
| 25.15 | 3.540 | 100 | 3 -2 1 |
| 27.14 | 3.285 | 29 | 1 1 2 |
| 27.92 | 3.196 | 56 | 0 3 1 |
| 28.47 | 3.136 | 70 | 0 2 2 |
| 29.45 | 3.033 | 57 | 2 2 0 |
| 38.56 | 2.335 | 51 | 2 0 3 |
| 41.45 | 2.179 | 34 | 3 -2 3 |

Structural model:
```
data_Rb6Nd3Br14
_chemical_formula_sum 'Rb6 Nd3 Br14'
_space_group_name_H-M_alt 'P 3'
_space_group_IT_number 143
_cell_length_a 12.1321
_cell_length_b 12.1321
_cell_length_c 7.8161
_cell_angle_alpha 90.00
_cell_angle_beta 90.00
_cell_angle_gamma 120.00
loop_
_space_group_symop_operation_xyz
'x,y,z'
'-y,x-y,z'
'-x+y,-x,z'
loop_
_atom_site_label
_atom_site_type_symbol
_atom_site_fract_x
_atom_site_fract_y
_atom_site_fract_z
Rb1 Rb 0.0257 0.4743 0.0000
Rb2 Rb 0.2877 0.1937 0.4644
Nd1 Nd 0.0000 0.0000 0.0235
Nd2 Nd 0.3333 0.6667 0.5571
Nd3 Nd 0.6667 0.3333 0.6480
Br1 Br 0.0000 0.0000 0.6604
Br2 Br 0.0831 0.2359 0.1898
Br3 Br 0.1912 0.7613 0.7163
Br4 Br 0.3333 0.6667 0.1940
Br5 Br 0.4395 0.2420 0.8621
Br6 Br 0.5260 0.1043 0.4369
```

The following is a calculated powder diffractogram of Rb2NdSe2Br2. It was derived from DFT lattice parameters and positions (PBE), using copper Kα.

Largest 10 diffraction maxima, in order of rising 2θ, 5° ≤ 2θ ≤ 70°:
| 2theta | d_spacing | I/Imax | h k l |
| --- | --- | --- | --- |
| 9.91 | 8.930 | 62 | 0 0 2 |
| 16.37 | 5.415 | 33 | 1 0 1 |
| 22.12 | 4.018 | 62 | 1 1 0 |
| 29.54 | 3.024 | 42 | 1 0 5 |
| 29.92 | 2.987 | 37 | 1 1 4 |
| 30.02 | 2.977 | 45 | 0 0 6 |
| 31.49 | 2.841 | 100 | 2 0 0 |
| 44.06 | 2.055 | 61 | 2 0 6 |
| 45.13 | 2.009 | 36 | 2 2 0 |
| 55.14 | 1.666 | 44 | 2 2 6 |

Structural model:
```
data_Rb2NdSe2Br2
_chemical_formula_sum 'Rb4 Nd2 Se4 Br4'
_space_group_name_H-M_alt 'I 4/m m m'
_space_group_IT_number 139
_space_group_name_Hall '-I 4 2'
_cell_length_a 5.6820
_cell_length_b 5.6820
_cell_length_c 17.8598
_cell_angle_alpha 90.00
_cell_angle_beta 90.00
_cell_angle_gamma 90.00
loop_
_atom_site_label
_atom_site_type_symbol
_atom_site_fract_x
_atom_site_fract_y
_atom_site_fract_z
Rb1 Rb 0.0000 0.0000 0.1414
Nd1 Nd 0.0000 0.0000 0.5000
Se1 Se 0.0000 0.5000 0.0000
Br1 Br 0.0000 0.0000 0.3336
```